(1)
# CoIr2
Simulated powder X-ray diffraction pattern, Cu Kα, 1.54184 Å. Input: a cell relaxed with PBE.
Kinematic intensities with the Lorentz-polarization factor, no thermal factor.

Most intense lines, 10 to 90 degrees two-theta, by angle:
d (Å), two_theta, I (rel.)
3.248, 27.5, 5
2.813, 31.8, 69
1.989, 45.6, 100
1.696, 54.1, 2
1.624, 56.7, 19
1.406, 66.5, 16
1.291, 73.4, 1
1.258, 75.6, 25
1.148, 84.3, 34

Crystal structure
```
CoIr2
1.0
0.000 2.813 2.813
2.813 0.000 2.813
2.813 2.813 0.000
Co Ir
1 2
Direct
0.000 0.000 0.000
0.250 0.250 0.250
0.750 0.750 0.750
```

(2)
# LaCoSn2Ir
Simulated powder X-ray diffraction pattern, Cu Kα, 1.54184 Å. Input: a cell relaxed with PBE.
Kinematic intensities with the Lorentz-polarization factor, no thermal factor.

Most intense lines, 10 to 90 degrees two-theta, by angle:
d (Å), two_theta, I (rel.)
5.245, 16.9, 13
2.755, 32.5, 27
2.710, 33.1, 100
2.238, 40.3, 53
2.019, 44.9, 24
1.900, 47.9, 14
1.737, 52.7, 14
1.582, 58.3, 18
1.530, 60.5, 13
1.367, 68.7, 25

Crystal structure
```
LaCoSn2Ir
1.0
4.476 0.000 0.000
0.000 4.476 0.000
0.000 0.000 10.489
La Co Sn Ir
2 2 4 2
Direct
0.250 0.250 0.248
0.750 0.750 0.752
0.250 0.250 0.623
0.750 0.750 0.377
0.250 0.250 0.860
0.250 0.750 0.500
0.750 0.250 0.500
0.750 0.750 0.140
0.250 0.750 0.000
0.750 0.250 0.000
```

(3)
# Li2Co2Si2NiIr
Simulated powder X-ray diffraction pattern, Cu Kα, 1.54184 Å. Input: a cell relaxed with PBE.
Kinematic intensities with the Lorentz-polarization factor, no thermal factor.

Most intense lines, 10 to 90 degrees two-theta, by angle:
d (Å), two_theta, I (rel.)
5.745, 15.4, 24
3.964, 22.4, 23
3.263, 27.3, 100
2.803, 31.9, 20
2.519, 35.6, 16
2.006, 45.2, 97
1.982, 45.8, 47
1.724, 53.1, 16
1.694, 54.1, 30
1.149, 84.3, 31

Crystal structure
```
Li2Co2Si2NiIr
1.0
3.964 0.000 0.000
0.000 3.964 0.000
0.000 0.000 5.745
Li Co Si Ni Ir
2 2 2 1 1
Direct
0.000 0.500 0.234
0.500 0.000 0.766
0.000 0.500 0.757
0.500 0.000 0.243
0.000 0.000 0.500
0.500 0.500 0.000
0.000 0.000 0.000
0.500 0.500 0.500
```

(4)
# Li2Zr2CoSn2Ir
Simulated powder X-ray diffraction pattern, Cu Kα, 1.54184 Å. Input: a cell relaxed with PBE.
Kinematic intensities with the Lorentz-polarization factor, no thermal factor.

Most intense lines, 10 to 90 degrees two-theta, by angle:
d (Å), two_theta, I (rel.)
4.518, 19.6, 10
3.696, 24.1, 47
2.861, 31.3, 9
2.266, 39.8, 100
2.259, 39.9, 50
1.927, 47.2, 16
1.597, 57.7, 17
1.309, 72.1, 17
1.305, 72.4, 34
1.133, 85.8, 11

Crystal structure
```
Li2Zr2CoSn2Ir
1.0
4.518 0.000 0.000
0.000 4.518 0.000
0.000 0.000 6.427
Li Zr Co Sn Ir
2 2 1 2 1
Direct
0.000 0.000 0.000
0.500 0.500 0.500
0.000 0.500 0.244
0.500 0.000 0.756
0.500 0.500 0.000
0.000 0.500 0.759
0.500 0.000 0.241
0.000 0.000 0.500
```

(5)
# Co5Mo2Ir
Simulated powder X-ray diffraction pattern, Cu Kα, 1.54184 Å. Input: a cell relaxed with PBE.
Kinematic intensities with the Lorentz-polarization factor, no thermal factor.

Most intense lines, 10 to 90 degrees two-theta, by angle:
d (Å), two_theta, I (rel.)
3.036, 29.4, 18
2.257, 39.9, 25
2.237, 40.3, 15
2.066, 43.8, 37
1.981, 45.8, 100
1.968, 46.1, 45
1.524, 60.8, 14
1.296, 73.0, 15
1.176, 81.9, 17
1.098, 89.2, 18

Crystal structure
```
Co5Mo2Ir
1.0
4.132 0.000 0.000
0.000 2.614 4.475
0.000 -2.614 4.475
Co Mo Ir
5 2 1
Direct
0.000 0.000 0.000
0.000 0.009 0.508
0.000 0.508 0.009
0.500 0.163 0.676
0.500 0.676 0.163
0.000 0.497 0.497
0.500 0.169 0.169
0.500 0.677 0.677
```

(6)
# NbCoIr2
Simulated powder X-ray diffraction pattern, Cu Kα, 1.54184 Å. Input: a cell relaxed with PBE.
Kinematic intensities with the Lorentz-polarization factor, no thermal factor.

Most intense lines, 10 to 90 degrees two-theta, by angle:
d (Å), two_theta, I (rel.)
4.731, 18.8, 26
3.221, 27.7, 18
2.366, 38.0, 23
2.198, 41.1, 39
2.090, 43.3, 48
2.083, 43.4, 100
1.610, 57.2, 14
1.370, 68.5, 17
1.246, 76.5, 19
1.162, 83.1, 20

Crystal structure
```
NbCoIr2
1.0
4.397 0.000 0.000
0.000 4.751 2.728
0.000 -4.751 2.728
Nb Co Ir
2 2 4
Direct
0.250 0.165 0.835
0.750 0.835 0.165
0.250 0.671 0.828
0.750 0.828 0.671
0.250 0.179 0.343
0.250 0.676 0.353
0.750 0.343 0.179
0.750 0.353 0.676
```

(7)
# Nb2Co3Ir3
Simulated powder X-ray diffraction pattern, Cu Kα, 1.54184 Å. Input: a cell relaxed with PBE.
Kinematic intensities with the Lorentz-polarization factor, no thermal factor.

Most intense lines, 10 to 90 degrees two-theta, by angle:
d (Å), two_theta, I (rel.)
4.716, 18.8, 8
4.294, 20.7, 23
2.358, 38.2, 35
2.147, 42.1, 24
2.067, 43.8, 100
1.588, 58.1, 21
1.361, 69.0, 16
1.224, 78.1, 18
1.150, 84.2, 18
1.137, 85.4, 14

Crystal structure
```
Nb2Co3Ir3
1.0
5.446 0.000 0.000
-2.723 4.716 0.000
0.000 0.000 4.294
Nb Co Ir
2 3 3
Direct
0.000 0.000 0.000
0.333 0.667 0.500
0.340 0.170 0.500
0.830 0.170 0.500
0.830 0.660 0.500
0.506 0.012 0.000
0.506 0.494 0.000
0.988 0.494 0.000
```

(8)
# Nb2Zn2Co2IrOs
Simulated powder X-ray diffraction pattern, Cu Kα, 1.54184 Å. Input: a cell relaxed with PBE.
Kinematic intensities with the Lorentz-polarization factor, no thermal factor.

Most intense lines, 10 to 90 degrees two-theta, by angle:
d (Å), two_theta, I (rel.)
3.529, 25.2, 23
3.056, 29.2, 5
2.161, 41.8, 100
1.843, 49.5, 12
1.530, 60.5, 5
1.527, 60.6, 11
1.402, 66.7, 5
1.248, 76.3, 33
1.177, 81.9, 2
1.176, 81.9, 2

Crystal structure
```
Nb2Zn2Co2IrOs
1.0
4.320 0.000 0.000
0.000 4.320 0.000
0.000 0.000 6.118
Nb Zn Co Ir Os
2 2 2 1 1
Direct
0.000 0.500 0.249
0.500 0.000 0.751
0.000 0.500 0.751
0.500 0.000 0.249
0.000 0.000 0.500
0.500 0.500 0.000
0.500 0.500 0.500
0.000 0.000 0.000
```

(9)
# Ta2Zn2CoNiIr2
Simulated powder X-ray diffraction pattern, Cu Kα, 1.54184 Å. Input: a cell relaxed with PBE.
Kinematic intensities with the Lorentz-polarization factor, no thermal factor.

Most intense lines, 10 to 90 degrees two-theta, by angle:
d (Å), two_theta, I (rel.)
3.535, 25.2, 26
2.165, 41.7, 100
1.846, 49.4, 14
1.531, 60.5, 17
1.405, 66.6, 6
1.250, 76.2, 33
1.178, 81.7, 5

Crystal structure
```
Ta2Zn2CoNiIr2
1.0
4.329 0.000 0.000
0.000 4.329 0.000
0.000 0.000 6.127
Ta Zn Co Ni Ir
2 2 1 1 2
Direct
0.000 0.500 0.250
0.500 0.000 0.750
0.000 0.500 0.750
0.500 0.000 0.250
0.000 0.000 0.000
0.500 0.500 0.500
0.000 0.000 0.500
0.500 0.500 0.000
```

(10)
# CoIrPb2
Simulated powder X-ray diffraction pattern, Cu Kα, 1.54184 Å. Input: a cell relaxed with PBE.
Kinematic intensities with the Lorentz-polarization factor, no thermal factor.

Most intense lines, 10 to 90 degrees two-theta, by angle:
d (Å), two_theta, I (rel.)
3.944, 22.5, 11
3.416, 26.1, 4
2.415, 37.2, 100
2.060, 44.0, 6
1.708, 53.7, 18
1.567, 58.9, 3
1.394, 67.1, 36
1.315, 71.8, 2
1.208, 79.3, 12
1.155, 83.8, 2

Crystal structure
```
CoIrPb2
1.0
0.000 3.416 3.416
3.416 0.000 3.416
3.416 3.416 0.000
Co Ir Pb
1 1 2
Direct
0.000 0.000 0.000
0.750 0.750 0.750
0.250 0.250 0.250
0.500 0.500 0.500
```

(11)
# Co2SbIr
Simulated powder X-ray diffraction pattern, Cu Kα, 1.54184 Å. Input: a cell relaxed with PBE.
Kinematic intensities with the Lorentz-polarization factor, no thermal factor.

Most intense lines, 10 to 90 degrees two-theta, by angle:
d (Å), two_theta, I (rel.)
3.509, 25.4, 26
3.039, 29.4, 3
2.149, 42.1, 100
1.832, 49.8, 13
1.754, 52.1, 1
1.519, 61.0, 16
1.394, 67.1, 6
1.359, 69.1, 1
1.241, 76.8, 33
1.170, 82.5, 5

Crystal structure
```
Co2SbIr
1.0
0.000 3.039 3.039
3.039 0.000 3.039
3.039 3.039 0.000
Co Sb Ir
2 1 1
Direct
0.000 0.000 0.000
0.250 0.250 0.250
0.500 0.500 0.500
0.750 0.750 0.750
```

(12)
# Ta4Co2IrSe12
Simulated powder X-ray diffraction pattern, Cu Kα, 1.54184 Å. Input: a cell relaxed with PBE.
Kinematic intensities with the Lorentz-polarization factor, no thermal factor.

Most intense lines, 10 to 90 degrees two-theta, by angle:
d (Å), two_theta, I (rel.)
6.914, 12.8, 100
6.455, 13.7, 42
3.179, 28.1, 22
2.777, 32.2, 20
2.724, 32.9, 14
2.555, 35.1, 27
2.419, 37.2, 41
2.258, 39.9, 29
2.056, 44.0, 24
1.697, 54.1, 15

Crystal structure
```
Ta4Co2IrSe12
1.0
6.914 -1.697 0.000
6.914 1.697 0.000
-6.859 0.000 18.070
Ta Co Ir Se
4 2 1 12
Direct
0.121 0.121 0.146
0.246 0.246 0.406
0.754 0.754 0.594
0.879 0.879 0.854
0.270 0.270 0.716
0.730 0.730 0.284
0.500 0.500 0.000
0.103 0.103 0.278
0.122 0.122 0.605
0.307 0.307 0.235
0.312 0.312 0.929
0.366 0.366 0.552
0.467 0.467 0.117
0.533 0.533 0.883
0.634 0.634 0.448
0.688 0.688 0.071
0.693 0.693 0.765
0.878 0.878 0.395
0.897 0.897 0.722
```

(13)
# Co5Si2Ir
Simulated powder X-ray diffraction pattern, Cu Kα, 1.54184 Å. Input: a cell relaxed with PBE.
Kinematic intensities with the Lorentz-polarization factor, no thermal factor.

Most intense lines, 10 to 90 degrees two-theta, by angle:
d (Å), two_theta, I (rel.)
5.670, 15.6, 8
4.004, 22.2, 11
3.270, 27.3, 17
2.832, 31.6, 17
2.533, 35.4, 10
2.003, 45.3, 100
1.708, 53.7, 8
1.416, 66.0, 15
1.267, 75.0, 6
1.156, 83.6, 31

Crystal structure
```
Co5Si2Ir
1.0
4.004 0.000 0.000
0.000 4.004 0.000
0.000 0.000 5.670
Co Si Ir
5 2 1
Direct
0.000 0.000 0.000
0.000 0.000 0.500
0.000 0.500 0.228
0.500 0.000 0.772
0.500 0.500 0.000
0.000 0.500 0.759
0.500 0.000 0.241
0.500 0.500 0.500
```

(14)
# Sm2ZnCoIr
Simulated powder X-ray diffraction pattern, Cu Kα, 1.54184 Å. Input: a cell relaxed with PBE.
Kinematic intensities with the Lorentz-polarization factor, no thermal factor.

Most intense lines, 10 to 90 degrees two-theta, by angle:
d (Å), two_theta, I (rel.)
4.719, 18.8, 22
3.377, 26.4, 25
2.640, 34.0, 100
2.360, 38.1, 38
2.342, 38.4, 33
2.268, 39.7, 55
2.116, 42.7, 17
2.099, 43.1, 30
1.568, 58.9, 22
1.374, 68.2, 27

Crystal structure
```
Sm2ZnCoIr
1.0
-2.099 4.232 2.842
2.099 -4.232 2.842
2.099 4.232 -2.842
Sm Zn Co Ir
2 1 1 1
Direct
0.208 0.000 0.208
0.792 0.000 0.792
0.488 0.488 0.000
0.229 0.729 0.500
0.794 0.294 0.500
```

(15)
# TaZnCoIr
Simulated powder X-ray diffraction pattern, Cu Kα, 1.54184 Å. Input: a cell relaxed with PBE.
Kinematic intensities with the Lorentz-polarization factor, no thermal factor.

Most intense lines, 10 to 90 degrees two-theta, by angle:
d (Å), two_theta, I (rel.)
3.530, 25.2, 27
2.162, 41.8, 100
1.843, 49.4, 14
1.529, 60.6, 17
1.403, 66.7, 6
1.248, 76.3, 33
1.177, 81.9, 5

Crystal structure
```
TaZnCoIr
1.0
4.322 0.000 0.000
0.000 4.322 0.000
0.000 0.000 6.116
Ta Zn Co Ir
2 2 2 2
Direct
0.000 0.500 0.249
0.500 0.000 0.751
0.000 0.500 0.750
0.500 0.000 0.250
0.000 0.000 0.000
0.500 0.500 0.500
0.000 0.000 0.500
0.500 0.500 0.000
```